Starting from a PBE-relaxed structure, the X-ray diffraction stick pattern of AlH2Pd7Pb2 was calculated for Cu Kα (weighted mean of Kα1 and Kα2).
Lines closer than 0.1° are merged.

Most intense lines, 5 to 70 degrees two-theta, low angle first:
two_theta	I_rel
25.2	14
31.6	26
32.6	45
35.4	20
35.7	21
39.8	100
45.3	51
56.3	13
61.8	16
66.0	16

Crystal structure
Unit cell a=11.669 b=11.669 c=11.669 alpha=160.23 beta=160.23 gamma=28.09
Atoms (fractional coordinates):
Al 0.000 0.000 0.000
H 0.413 0.413 0.000
H 0.587 0.587 0.000
Pd 0.085 0.585 0.500
Pd 0.325 0.325 0.000
Pd 0.415 0.915 0.500
Pd 0.500 0.500 0.000
Pd 0.585 0.085 0.500
Pd 0.675 0.675 0.000
Pd 0.915 0.415 0.500
Pb 0.197 0.197 0.000
Pb 0.803 0.803 0.000

Starting from a PBE-relaxed structure, the X-ray diffraction stick pattern of Na8B13C3 was calculated for Cu Kα (weighted mean of Kα1 and Kα2).
Lines closer than 0.1° are merged.

Most intense lines, 5 to 70 degrees two-theta, low angle first:
two_theta	I_rel
20.5	2
34.5	12
35.6	18
40.5	49
41.4	100
41.7	37
55.2	6
56.0	10
62.6	18
64.7	8

Crystal structure
Unit cell a=10.108 b=5.942 c=9.136 alpha=81.20 beta=35.52 gamma=63.28
Atoms (fractional coordinates):
Na 0.123 0.377 0.123
Na 0.124 0.876 0.124
Na 0.375 0.624 0.376
Na 0.377 0.123 0.377
Na 0.623 0.877 0.623
Na 0.624 0.375 0.625
Na 0.876 0.124 0.876
Na 0.877 0.623 0.877
B 0.076 0.076 0.424
B 0.164 0.164 0.836
B 0.164 0.677 0.836
B 0.331 0.331 0.669
B 0.354 0.824 0.646
B 0.411 0.411 0.089
B 0.434 0.932 0.068
B 0.576 0.576 0.924
B 0.677 0.164 0.323
B 0.822 0.822 0.178
B 0.824 0.354 0.176
B 0.911 0.911 0.589
B 0.932 0.434 0.566
C 0.081 0.582 0.418
C 0.582 0.081 0.919
C 0.668 0.668 0.332

Starting from a PBE-relaxed structure, the X-ray diffraction stick pattern of BaMgSnH was calculated for Cu Kα (weighted mean of Kα1 and Kα2).
Lines closer than 0.1° are merged.

Most intense lines, 5 to 70 degrees two-theta, low angle first:
two_theta	I_rel
19.8	25
29.1	100
34.7	51
40.3	4
43.1	9
45.9	29
47.8	5
56.4	25
58.8	28
62.2	9

Crystal structure
Unit cell a=5.171 b=5.171 c=4.201 alpha=90.00 beta=90.00 gamma=120.00
Atoms (fractional coordinates):
Ba 0.000 0.000 0.000
Mg 0.667 0.333 0.500
Sn 0.333 0.667 0.500
H 0.667 0.333 0.000

Starting from a PBE-relaxed structure, the X-ray diffraction stick pattern of NaLaSm2Se4 was calculated for Cu Kα (weighted mean of Kα1 and Kα2).
Lines closer than 0.1° are merged.

Most intense lines, 5 to 70 degrees two-theta, low angle first:
two_theta	I_rel
12.7	9
24.8	5
25.9	5
29.9	100
42.5	38
43.0	37
52.3	7
53.3	19
62.1	12
70.0	11

Crystal structure
Unit cell a=7.283 b=4.204 c=7.399 alpha=90.00 beta=109.08 gamma=90.00
Atoms (fractional coordinates):
Na 0.000 0.000 0.000
La 0.500 0.500 0.000
Sm 0.000 0.500 0.500
Sm 0.500 0.000 0.500
Se 0.244 0.000 0.744
Se 0.251 0.500 0.257
Se 0.749 0.500 0.743
Se 0.756 0.000 0.256

Starting from a PBE-relaxed structure, the X-ray diffraction stick pattern of CuSbP2O was calculated for Cu Kα (weighted mean of Kα1 and Kα2).
Lines closer than 0.1° are merged.

Most intense lines, 5 to 70 degrees two-theta, low angle first:
two_theta	I_rel
26.6	51
31.0	100
36.4	36
38.0	68
49.8	53
50.1	15
54.8	22
57.6	11
64.3	12
64.6	26

Crystal structure
Unit cell a=4.737 b=4.737 c=3.641 alpha=90.00 beta=90.00 gamma=90.00
Atoms (fractional coordinates):
Cu 0.000 0.000 0.000
Sb 0.500 0.500 0.500
P 0.000 0.500 0.000
P 0.500 0.000 0.000
O 0.000 0.000 0.500

Starting from a PBE-relaxed structure, the X-ray diffraction stick pattern of Mg3InGa12 was calculated for Cu Kα (weighted mean of Kα1 and Kα2).
Lines closer than 0.1° are merged.

Most intense lines, 5 to 70 degrees two-theta, low angle first:
two_theta	I_rel
5.4	7
20.6	2
21.3	3
23.3	2
33.6	3
36.7	100
41.9	35
43.9	14
60.8	11
62.4	19

Crystal structure
Unit cell a=4.309 b=4.309 c=16.484 alpha=90.00 beta=90.00 gamma=90.00
Atoms (fractional coordinates):
Mg 0.000 0.000 0.000
Mg 0.000 0.000 0.243
Mg 0.000 0.000 0.757
In 0.000 0.000 0.500
Ga 0.000 0.500 0.122
Ga 0.000 0.500 0.366
Ga 0.000 0.500 0.634
Ga 0.000 0.500 0.878
Ga 0.500 0.000 0.122
Ga 0.500 0.000 0.366
Ga 0.500 0.000 0.634
Ga 0.500 0.000 0.878
Ga 0.500 0.500 0.000
Ga 0.500 0.500 0.243
Ga 0.500 0.500 0.500
Ga 0.500 0.500 0.757

Starting from a PBE-relaxed structure, the X-ray diffraction stick pattern of Hf3Be2Co5 was calculated for Cu Kα (weighted mean of Kα1 and Kα2).
Lines closer than 0.1° are merged.

Most intense lines, 5 to 70 degrees two-theta, low angle first:
two_theta	I_rel
22.3	36
31.8	27
36.0	81
40.2	44
41.8	54
42.8	100
45.5	29
57.6	18
68.0	22
69.8	21

Crystal structure
Unit cell a=8.908 b=8.908 c=3.200 alpha=90.00 beta=90.00 gamma=90.00
Atoms (fractional coordinates):
Hf 0.000 0.000 0.000
Hf 0.175 0.325 0.000
Hf 0.325 0.825 0.000
Hf 0.500 0.500 0.000
Hf 0.675 0.175 0.000
Hf 0.825 0.675 0.000
Be 0.117 0.617 0.000
Be 0.383 0.117 0.000
Be 0.617 0.883 0.000
Be 0.883 0.383 0.000
Co 0.000 0.500 0.500
Co 0.070 0.779 0.500
Co 0.221 0.070 0.500
Co 0.279 0.570 0.500
Co 0.430 0.279 0.500
Co 0.500 0.000 0.500
Co 0.570 0.721 0.500
Co 0.721 0.430 0.500
Co 0.779 0.930 0.500
Co 0.930 0.221 0.500

Starting from a PBE-relaxed structure, the X-ray diffraction stick pattern of Ce3Co2Ni3 was calculated for Cu Kα (weighted mean of Kα1 and Kα2).
Lines closer than 0.1° are merged.

Most intense lines, 5 to 70 degrees two-theta, low angle first:
two_theta	I_rel
24.2	24
33.8	36
34.1	93
36.0	100
36.9	41
39.0	48
40.6	28
46.0	29
48.1	43
49.8	29

Crystal structure
Unit cell a=8.207 b=8.207 c=4.637 alpha=95.41 beta=95.41 gamma=26.65
Atoms (fractional coordinates):
Ce 0.000 0.000 0.000
Ce 0.158 0.158 0.515
Ce 0.842 0.842 0.485
Co 0.218 0.218 0.111
Co 0.782 0.782 0.889
Ni 0.378 0.378 0.072
Ni 0.500 0.500 0.500
Ni 0.622 0.622 0.928

Starting from a PBE-relaxed structure, the X-ray diffraction stick pattern of Ce5ScGe4 was calculated for Cu Kα (weighted mean of Kα1 and Kα2).
Lines closer than 0.1° are merged.

Most intense lines, 5 to 70 degrees two-theta, low angle first:
two_theta	I_rel
24.6	50
27.0	23
34.6	57
35.5	54
36.3	100
37.4	90
50.4	38
62.4	25
64.3	18
65.0	17

Crystal structure
Unit cell a=8.189 b=8.189 c=6.606 alpha=92.10 beta=92.10 gamma=35.93
Atoms (fractional coordinates):
Ce 0.000 0.000 0.000
Ce 0.329 0.329 0.486
Ce 0.339 0.339 0.992
Ce 0.661 0.661 0.008
Ce 0.671 0.671 0.514
Sc 0.000 0.000 0.500
Ge 0.168 0.168 0.752
Ge 0.494 0.494 0.722
Ge 0.506 0.506 0.278
Ge 0.832 0.832 0.248

Starting from a PBE-relaxed structure, the X-ray diffraction stick pattern of PrSm2Er7 was calculated for Cu Kα (weighted mean of Kα1 and Kα2).
Lines closer than 0.1° are merged.

Most intense lines, 5 to 70 degrees two-theta, low angle first:
two_theta	I_rel
30.8	34
30.9	100
35.8	68
51.4	24
51.6	16
51.6	8
61.1	5
61.2	19
61.3	29
64.3	8

Crystal structure
Unit cell a=6.140 b=7.109 c=7.921 alpha=77.27 beta=75.13 gamma=73.35
Atoms (fractional coordinates):
Pr 0.000 0.000 0.000
Sm 0.200 0.300 0.600
Sm 0.800 0.700 0.400
Er 0.000 0.500 0.000
Er 0.201 0.799 0.600
Er 0.400 0.101 0.200
Er 0.401 0.599 0.200
Er 0.599 0.401 0.800
Er 0.600 0.899 0.800
Er 0.799 0.201 0.400